1.
This entry pairs a crystal structure of GaSi3 with its theoretical X-ray powder pattern. Radiation: λ = 1.5418 Å (Cu Kα). Structure: a cell relaxed with PBE.
No peak broadening, texture or thermal motion is included.

Peak list (10 most intense, 10° ≤ 2θ ≤ 80°, sorted by position)
| d (Å) | Position (°2θ) | intensity | (hkl) |
| --- | --- | --- | --- |
| 6.812 | 13.0 | 47.6 | 0 0 1 |
| 3.899 | 22.8 | 34.5 | 1 0 0 |
| 3.406 | 26.2 | 43.0 | 0 0 2 |
| 3.071 | 29.1 | 70.8 | 1 0 2 |
| 3.011 | 29.7 | 100.0 | 1 0 -1 |
| 2.986 | 29.9 | 57.3 | 1 1 2 |
| 2.683 | 33.4 | 41.8 | 1 2 0 |
| 2.487 | 36.1 | 47.0 | 0 2 -1 |
| 2.396 | 37.5 | 36.5 | 0 2 1 |
| 2.021 | 44.9 | 49.2 | 2 2 1 |

Atomic structure:
a b c (Å): 4.4159 5.6467 7.1696
angles (deg): 86.19 72.10 68.00
Fractional coordinates of all 8 atoms:
Ga 0.0000 0.0000 0.0000
Ga 0.0428 0.4889 0.0743
Si 0.1813 0.1905 0.3380
Si 0.3036 0.4955 0.4870
Si 0.5868 0.7788 0.3510
Si 0.6238 0.5064 0.8916
Si 0.7164 0.2207 0.6312
Si 0.7397 0.7942 0.6422

***

2.
This entry pairs a crystal structure of Nd14HoPu with its theoretical X-ray powder pattern. Radiation: λ = 1.5418 Å (Cu Kα). Structure: a cell relaxed with PBE.
No peak broadening, texture or thermal motion is included.

Peak list (10 most intense, 10° ≤ 2θ ≤ 80°, sorted by position)
| d (Å) | Position (°2θ) | intensity | (hkl) |
| --- | --- | --- | --- |
| 2.983 | 30.0 | 100.0 | 2 0 2 |
| 2.586 | 34.7 | 34.0 | 2 2 0 |
| 2.578 | 34.8 | 16.7 | 0 0 4 |
| 2.506 | 35.8 | 0.7 | 2 0 3 |
| 1.827 | 49.9 | 36.3 | 4 0 0 |
| 1.559 | 59.3 | 29.0 | 4 2 2 |
| 1.556 | 59.4 | 14.2 | 2 0 6 |
| 1.492 | 62.2 | 12.5 | 4 0 4 |
| 1.293 | 73.2 | 3.9 | 4 4 0 |
| 1.289 | 73.5 | 1.9 | 0 0 8 |

Atomic structure:
a b c (Å): 7.3143 7.3143 10.3130
angles (deg): 90.00 90.00 90.00
Fractional coordinates of all 16 atoms:
Nd 0.0000 0.0000 0.0000
Nd 0.0000 0.5000 0.0000
Nd 0.0000 0.5000 0.5000
Nd 0.2488 0.2488 0.2546
Nd 0.2488 0.2488 0.7454
Nd 0.2488 0.7512 0.2546
Nd 0.2488 0.7512 0.7454
Nd 0.5000 0.0000 0.0000
Nd 0.5000 0.0000 0.5000
Nd 0.5000 0.5000 0.0000
Nd 0.7512 0.2488 0.2546
Nd 0.7512 0.2488 0.7454
Nd 0.7512 0.7512 0.2546
Nd 0.7512 0.7512 0.7454
Ho 0.5000 0.5000 0.5000
Pu 0.0000 0.0000 0.5000

***

3.
This entry pairs a crystal structure of ZnTeO3 with its theoretical X-ray powder pattern. Radiation: λ = 1.5418 Å (Cu Kα). Structure: a cell relaxed with PBE.
No peak broadening, texture or thermal motion is included.

Peak list (10 most intense, 10° ≤ 2θ ≤ 80°, sorted by position)
| d (Å) | Position (°2θ) | intensity | (hkl) |
| --- | --- | --- | --- |
| 3.774 | 23.6 | 86.3 | 0 0 2 |
| 3.257 | 27.4 | 64.4 | 1 0 2 |
| 3.164 | 28.2 | 90.5 | 1 3 1 |
| 3.151 | 28.3 | 60.2 | 1 1 2 |
| 3.123 | 28.6 | 100.0 | 2 1 0 |
| 3.106 | 28.7 | 71.4 | 0 4 0 |
| 2.407 | 37.4 | 43.2 | 2 1 2 |
| 1.869 | 48.7 | 30.4 | 3 0 2 |
| 1.791 | 51.0 | 39.3 | 1 1 4 |
| 1.669 | 55.0 | 32.2 | 1 7 1 |

Atomic structure:
a b c (Å): 6.4526 12.4250 7.5472
angles (deg): 90.00 90.00 90.00
Fractional coordinates of all 40 atoms:
Zn 0.1210 0.0900 0.1093
Zn 0.1210 0.4100 0.6093
Zn 0.3790 0.5900 0.1093
Zn 0.3790 0.9100 0.6093
Zn 0.6210 0.0900 0.3907
Zn 0.6210 0.4100 0.8907
Zn 0.8790 0.5900 0.3907
Zn 0.8790 0.9100 0.8907
Te 0.0921 0.1440 0.5581
Te 0.0921 0.3560 0.0581
Te 0.4079 0.6440 0.5581
Te 0.4079 0.8560 0.0581
Te 0.5921 0.1440 0.9419
Te 0.5921 0.3560 0.4419
Te 0.9079 0.6440 0.9419
Te 0.9079 0.8560 0.4419
O 0.0252 0.5889 0.1578
O 0.0252 0.9111 0.6578
O 0.1537 0.5659 0.5394
O 0.1537 0.9341 0.0394
O 0.2005 0.2233 0.9718
O 0.2005 0.2767 0.4718
O 0.2995 0.7233 0.9718
O 0.2995 0.7767 0.4718
O 0.3463 0.0659 0.5394
O 0.3463 0.4341 0.0394
O 0.4748 0.0889 0.1578
O 0.4748 0.4111 0.6578
O 0.5252 0.5889 0.3422
O 0.5252 0.9111 0.8422
O 0.6537 0.5659 0.9606
O 0.6537 0.9341 0.4606
O 0.7005 0.2233 0.5282
O 0.7005 0.2767 0.0282
O 0.7995 0.7233 0.5282
O 0.7995 0.7767 0.0282
O 0.8463 0.0659 0.9606
O 0.8463 0.4341 0.4606
O 0.9748 0.0889 0.3422
O 0.9748 0.4111 0.8422